(1)
Structure and theoretical powder XRD pattern of Na2AcHgF7 (a cell relaxed with PBE; Cu Kα X-rays).

a = 10.082 Å, b = 10.082 Å, c = 10.082 Å
α = 155.31°, β = 155.31°, γ = 35.19°
Fractional positions:
Na1 0.112 0.112 0.000
Na2 0.888 0.888 0.000
Ac1 0.500 0.500 0.000
Hg1 0.250 0.750 0.500
F1 0.000 0.000 0.000
F2 0.094 0.594 0.500
F3 0.228 0.228 0.000
F4 0.406 0.906 0.500
F5 0.576 0.076 0.500
F6 0.772 0.772 0.000
F7 0.924 0.424 0.500

The 12 most intense peaks (5 to 70 degrees two-theta), in order of rising 2θ:
- 18.5°, I = 75
- 21.1°, I = 97
- 24.9°, I = 100
- 30.8°, I = 82
- 31.2°, I = 47
- 38.9°, I = 32
- 40.9°, I = 60
- 41.9°, I = 47
- 46.2°, I = 30
- 47.4°, I = 25
- 49.4°, I = 32
- 57.4°, I = 23

---

(2)
Structure and theoretical powder XRD pattern of K2AcInF8 (a cell relaxed with PBE; Cu Kα X-rays).

a = 4.218 Å, b = 7.907 Å, c = 6.208 Å
α = 90.00°, β = 94.12°, γ = 90.00°
Fractional positions:
K1 0.000 0.232 0.000
K2 0.000 0.768 0.000
Ac1 0.500 0.500 0.500
In1 0.500 0.000 0.500
F1 0.006 0.500 0.726
F2 0.073 0.000 0.305
F3 0.452 0.225 0.708
F4 0.452 0.775 0.708
F5 0.548 0.225 0.292
F6 0.548 0.775 0.292
F7 0.927 0.000 0.695
F8 0.994 0.500 0.274

The 12 most intense peaks (5 to 70 degrees two-theta), in order of rising 2θ:
- 14.3°, I = 100
- 21.1°, I = 31
- 22.5°, I = 28
- 24.7°, I = 57
- 26.5°, I = 52
- 26.8°, I = 95
- 28.8°, I = 23
- 31.0°, I = 30
- 33.7°, I = 20
- 41.8°, I = 52
- 43.0°, I = 22
- 44.0°, I = 38

---

(3)
Structure and theoretical powder XRD pattern of Ac3IrPbF (a cell relaxed with PBE; Cu Kα X-rays).

a = 9.678 Å, b = 4.364 Å, c = 9.805 Å
α = 90.00°, β = 106.00°, γ = 90.00°
Fractional positions:
Ac1 0.050 0.250 0.340
Ac2 0.299 0.250 0.971
Ac3 0.371 0.750 0.633
Ac4 0.629 0.250 0.367
Ac5 0.701 0.750 0.029
Ac6 0.950 0.750 0.660
Ir1 0.167 0.250 0.660
Ir2 0.833 0.750 0.340
Pb1 0.312 0.750 0.256
Pb2 0.688 0.250 0.744
F1 0.426 0.750 0.918
F2 0.574 0.250 0.082

The 12 most intense peaks (5 to 70 degrees two-theta), in order of rising 2θ:
- 9.4°, I = 15
- 11.4°, I = 19
- 27.8°, I = 100
- 28.0°, I = 38
- 28.4°, I = 39
- 28.8°, I = 13
- 36.9°, I = 21
- 37.2°, I = 15
- 41.4°, I = 30
- 43.3°, I = 21
- 44.3°, I = 23
- 51.0°, I = 16

---

(4)
Structure and theoretical powder XRD pattern of KAc2F6 (a cell relaxed with PBE; Cu Kα X-rays).

a = 9.986 Å, b = 9.986 Å, c = 9.986 Å
α = 155.47°, β = 155.47°, γ = 34.97°
Fractional positions:
K1 0.000 0.000 0.000
Ac1 0.336 0.336 0.000
Ac2 0.664 0.664 0.000
F1 0.093 0.593 0.500
F2 0.250 0.750 0.500
F3 0.407 0.907 0.500
F4 0.593 0.093 0.500
F5 0.750 0.250 0.500
F6 0.907 0.407 0.500

The 12 most intense peaks (5 to 70 degrees two-theta), in order of rising 2θ:
- 9.3°, I = 29
- 18.6°, I = 11
- 21.5°, I = 21
- 25.2°, I = 100
- 28.1°, I = 11
- 29.8°, I = 18
- 41.4°, I = 41
- 42.6°, I = 19
- 48.0°, I = 18
- 50.2°, I = 32
- 51.8°, I = 9
- 66.1°, I = 14

---

Q: What is the formula in the first record?
A: Na2AcHgF7